Record 1
Diffraction record for Pu12Pt2Rh7. The X-ray powder pattern is calculated, not measured: it uses a cell relaxed with GGA-PBE and Cu Kα (weighted mean of Kα1 and Kα2).
Neutral-atom scattering factors, no anomalous dispersion.

Structural model:
Cell: 10.1808 10.1808 4.6837 Å, 90.00 90.00 120.00°
Atoms (fractional coordinates):
Pu1 0.0152 0.4439 0.0000
Pu2 0.0931 0.7880 0.0000
Pu3 0.2120 0.3051 0.0000
Pu4 0.2487 0.0761 0.5000
Pu5 0.3876 0.3619 0.5000
Pu6 0.4288 0.9848 0.0000
Pu7 0.5561 0.5712 0.0000
Pu8 0.6381 0.0257 0.5000
Pu9 0.6949 0.9069 0.0000
Pu10 0.8274 0.7513 0.5000
Pu11 0.9239 0.1726 0.5000
Pu12 0.9743 0.6124 0.5000
Pt1 0.3333 0.6667 0.0000
Pt2 0.6667 0.3333 0.5000
Rh1 0.0000 0.0000 0.0000
Rh2 0.1920 0.4874 0.5000
Rh3 0.2954 0.8080 0.5000
Rh4 0.4815 0.2591 0.0000
Rh5 0.5126 0.7046 0.5000
Rh6 0.7409 0.2224 0.0000
Rh7 0.7776 0.5185 0.0000

Top 6 peaks for 2θ = 5–70°, low angle first:
2θ/deg, I_rel
32.99, 100
36.08, 31
36.75, 33
38.44, 54
40.33, 35
41.67, 67

***

Record 2
Diffraction record for Hf2ReMoIr. The X-ray powder pattern is calculated, not measured: it uses a cell relaxed with GGA-PBE and Cu Kα (weighted mean of Kα1 and Kα2).
Neutral-atom scattering factors, no anomalous dispersion.

Structural model:
Cell: 4.9404 4.9404 4.5845 Å, 90.00 90.00 90.00°
Atoms (fractional coordinates):
Hf1 0.0000 0.5000 0.0000
Hf2 0.5000 0.0000 0.0000
Re1 0.0000 0.0000 0.5000
Mo1 0.5000 0.5000 0.5000
Ir1 0.5000 0.5000 0.0000

Top 6 peaks for 2θ = 5–70°, low angle first:
2θ/deg, I_rel
26.52, 50
32.22, 81
36.37, 100
39.31, 40
52.38, 35
54.62, 63

***

Record 3
Diffraction record for UAgAu4. The X-ray powder pattern is calculated, not measured: it uses a cell relaxed with GGA-PBE and Cu Kα (weighted mean of Kα1 and Kα2).
Neutral-atom scattering factors, no anomalous dispersion.

Structural model:
Cell: 2.9397 4.9449 8.2080 Å, 90.00 96.67 90.00°
Atoms (fractional coordinates):
U1 0.0000 0.0000 0.0000
Ag1 0.0000 0.5000 0.5000
Au1 0.3492 0.0000 0.6573
Au2 0.4604 0.5000 0.8266
Au3 0.5396 0.5000 0.1734
Au4 0.6508 0.0000 0.3427

Top 6 peaks for 2θ = 5–70°, low angle first:
2θ/deg, I_rel
35.69, 41
36.33, 75
37.77, 100
38.51, 51
51.84, 24
66.33, 20

***

Record 4
Diffraction record for CeYTl4. The X-ray powder pattern is calculated, not measured: it uses a cell relaxed with GGA-PBE and Cu Kα (weighted mean of Kα1 and Kα2).
Neutral-atom scattering factors, no anomalous dispersion.

Structural model:
Cell: 5.1917 5.1917 7.3751 Å, 90.10 90.10 90.01°
Atoms (fractional coordinates):
Ce1 0.0000 0.0000 0.0000
Y1 0.5000 0.5000 0.5000
Tl1 0.0010 0.4995 0.7391
Tl2 0.4995 0.0010 0.7391
Tl3 0.5005 0.9990 0.2609
Tl4 0.9990 0.5005 0.2609

Top 6 peaks for 2θ = 5–70°, low angle first:
2θ/deg, I_rel
24.13, 18
24.24, 37
34.47, 100
34.55, 50
61.80, 28
61.91, 19